Record 1
For Cs2Hg4Bi, a crystal structure in Alexandria, relaxed with PBE gives the calculated powder X-ray diffraction pattern in this record (CuKα).
Lines closer than 0.1° are merged.

Largest 10 diffraction maxima, sorted by position, 15 to 90 degrees two-theta:
Position (°2θ), I (rel.)
15.5, 27
21.0, 32
22.9, 45
27.0, 100
27.8, 55
29.9, 98
40.7, 100
42.9, 37
51.4, 42
69.1, 22

Structure:
Unit cell a=10.7815 b=10.7815 c=10.7815 alpha=147.86 beta=147.86 gamma=46.09
Positions (direct):
Cs 0.1331 0.1331 0.0000
Cs 0.8669 0.8669 0.0000
Hg 0.0000 0.5000 0.5000
Hg 0.3290 0.3290 0.0000
Hg 0.5000 0.0000 0.5000
Hg 0.6710 0.6710 0.0000
Bi 0.5000 0.5000 0.0000

Record 2
For La2TmSi3Ir4, a crystal structure in Alexandria, relaxed with PBE gives the calculated powder X-ray diffraction pattern in this record (CuKα).
Lines closer than 0.1° are merged.

Largest 10 diffraction maxima, sorted by position, 15 to 90 degrees two-theta:
Position (°2θ), I (rel.)
26.8, 25
31.3, 13
32.6, 18
34.5, 100
43.3, 44
45.2, 18
46.9, 18
62.8, 15
65.7, 13
73.7, 22

Structure:
Unit cell a=4.1827 b=4.1827 c=10.9394 alpha=90.00 beta=90.00 gamma=90.00
Positions (direct):
La 0.0000 0.5000 0.2365
La 0.5000 0.0000 0.7635
Tm 0.0000 0.0000 0.5000
Si 0.0000 0.5000 0.8829
Si 0.5000 0.0000 0.1171
Si 0.5000 0.5000 0.5000
Ir 0.0000 0.0000 0.0000
Ir 0.0000 0.5000 0.6595
Ir 0.5000 0.0000 0.3405
Ir 0.5000 0.5000 0.0000

Record 3
For Ce2Nd3HoP6, a crystal structure in Alexandria, relaxed with PBE gives the calculated powder X-ray diffraction pattern in this record (CuKα).
Lines closer than 0.1° are merged.

Largest 10 diffraction maxima, sorted by position, 15 to 90 degrees two-theta:
Position (°2θ), I (rel.)
26.6, 80
30.8, 100
44.1, 73
52.2, 10
52.3, 30
54.7, 19
64.1, 12
72.8, 33
81.2, 18
87.2, 9

Structure:
Unit cell a=7.1089 b=7.1089 c=7.1209 alpha=99.58 beta=99.58 gamma=120.00
Positions (direct):
Ce 0.1666 0.8334 0.0000
Ce 0.8334 0.1666 0.0000
Nd 0.0000 0.0000 0.5000
Nd 0.3332 0.6668 0.5000
Nd 0.6668 0.3332 0.5000
Ho 0.5000 0.5000 0.0000
P 0.0874 0.4201 0.7601
P 0.2478 0.2478 0.2411
P 0.4201 0.0874 0.7601
P 0.5799 0.9126 0.2399
P 0.7522 0.7522 0.7589
P 0.9126 0.5799 0.2399